Li2Mn4Si4O13: calculated X-ray diffraction stick pattern (a wavelength of 1.5418 Å), based on a DFT-relaxed cell (GGA+U, the Materials Project).
Peak positions follow from Bragg's law for the DFT cell and can differ from measured ones.

Lattice parameters (Å, degrees): 6.986 8.060 10.398 68.43 89.80 78.05
Atoms (fractional coordinates):
Li 0.228 0.101 0.386
Li 0.256 0.063 0.915
Li 0.744 0.937 0.085
Li 0.772 0.899 0.614
Mn 0.072 0.691 0.893
Mn 0.083 0.693 0.502
Mn 0.424 0.317 0.111
Mn 0.430 0.309 0.492
Mn 0.570 0.691 0.508
Mn 0.576 0.683 0.889
Mn 0.917 0.307 0.498
Mn 0.928 0.309 0.107
Si 0.076 0.603 0.220
Si 0.270 0.910 0.678
Si 0.279 0.910 0.208
Si 0.373 0.383 0.781
Si 0.627 0.617 0.219
Si 0.721 0.090 0.792
Si 0.730 0.090 0.322
Si 0.924 0.397 0.780
O 0.098 0.800 0.663
O 0.135 0.493 0.116
O 0.137 0.803 0.156
O 0.138 0.494 0.385
O 0.161 0.324 0.802
O 0.212 0.125 0.570
O 0.217 0.128 0.114
O 0.274 0.875 0.847
O 0.281 0.858 0.375
O 0.390 0.489 0.616
O 0.404 0.479 0.889
O 0.496 0.832 0.163
O 0.499 0.818 0.659
O 0.501 0.182 0.341
O 0.504 0.168 0.837
O 0.596 0.521 0.111
O 0.610 0.511 0.384
O 0.719 0.142 0.625
O 0.726 0.125 0.153
O 0.783 0.872 0.886
O 0.788 0.875 0.430
O 0.839 0.676 0.198
O 0.862 0.506 0.615
O 0.863 0.197 0.844
O 0.865 0.507 0.884
O 0.902 0.200 0.337

Most intense lines, 2θ from 10° to 80°, in order of rising 2θ:
12.11°, d 7.307, intensity 53.4, (0 1 0); 17.84°, d 4.971, intensity 25.4, (0 1 2); 24.36°, d 3.655, intensity 24.1, (0 2 0); 25.82°, d 3.451, intensity 19.3, (1 2 2); 27.76°, d 3.213, intensity 57.4, (0 0 3); 29.33°, d 3.045, intensity 66.7, (0 2 3); 31.33°, d 2.855, intensity 100.0, (2 -1 0); 31.70°, d 2.823, intensity 88.7, (2 2 0); 34.45°, d 2.604, intensity 52.3, (0 1 -3); 34.57°, d 2.595, intensity 26.9, (0 1 4); 52.40°, d 1.746, intensity 42.7, (4 1 0); 58.75°, d 1.572, intensity 19.0, (-2 4 2)